[1]
Diffraction record for LaSb2. The powder diffractogram is computed, not measured: it uses the GGA-PBE geometry in Alexandria and a wavelength of 1.5418 Å.
Kinematic intensities with the Lorentz-polarization factor, no thermal factor.

Crystal structure
```
data_LaSb2
_space_group_name_H-M_alt 'C m c e'
_space_group_IT_number 64
_space_group_name_Hall '-C 2ac 2'
_cell_length_a 6.399
_cell_length_b 6.266
_cell_length_c 18.534
_cell_angle_alpha 90.00
_cell_angle_beta 90.00
_cell_angle_gamma 90.00
loop_
_atom_site_label
_atom_site_fract_x
_atom_site_fract_y
_atom_site_fract_z
La1 0.000 0.134 0.110
Sb1 0.000 0.130 0.437
Sb2 0.250 0.131 0.750
```

Top 6 peaks for 2θ from 15° to 90°, in order of falling intensity:
hkl 0 2 3, 2.794 Å, I = 100
hkl 2 2 1, 2.222 Å, I = 55
hkl 2 0 2, 3.024 Å, I = 53
hkl 2 0 4, 2.633 Å, I = 43
hkl 0 0 6, 3.089 Å, I = 43
hkl 1 1 6, 2.543 Å, I = 26

---

[2]
Diffraction record for DyZr2P. The powder diffractogram is computed, not measured: it uses the GGA-PBE geometry in Alexandria and a wavelength of 1.5418 Å.
Kinematic intensities with the Lorentz-polarization factor, no thermal factor.

Crystal structure
```
data_DyZr2P
_space_group_name_H-M_alt 'R 3 m'
_space_group_IT_number 160
_space_group_name_Hall 'R 3 -2"'
_cell_length_a 3.6343
_cell_length_b 3.6343
_cell_length_c 25.0703
_cell_angle_alpha 90.00
_cell_angle_beta 90.00
_cell_angle_gamma 120.00
loop_
_atom_site_label
_atom_site_fract_x
_atom_site_fract_y
_atom_site_fract_z
Dy1 0.0000 0.0000 0.0000
Zr1 0.0000 0.0000 0.5585
Zr2 0.0000 0.0000 0.7737
P1 0.0000 0.0000 0.1666
```

Top 6 peaks for 2θ from 15° to 90°, in order of falling intensity:
hkl 0 1 5, 2.666 Å, I = 100
hkl 1 0 4, 2.813 Å, I = 75
hkl 1 1 0, 1.817 Å, I = 43
hkl 0 0 9, 2.786 Å, I = 35
hkl 1 1 9, 1.522 Å, I = 34
hkl 1 0 1, 3.123 Å, I = 30

---

[3]
Diffraction record for La6Sm2Th. The powder diffractogram is computed, not measured: it uses the GGA-PBE geometry in Alexandria and a wavelength of 1.5418 Å.
Kinematic intensities with the Lorentz-polarization factor, no thermal factor.

Crystal structure
```
data_La6Sm2Th
_space_group_name_H-M_alt 'P -6 m 2'
_space_group_IT_number 187
_space_group_name_Hall 'P -6 2'
_cell_length_a 3.6755
_cell_length_b 3.6755
_cell_length_c 27.6997
_cell_angle_alpha 90.00
_cell_angle_beta 90.00
_cell_angle_gamma 120.00
loop_
_atom_site_label
_atom_site_fract_x
_atom_site_fract_y
_atom_site_fract_z
La1 0.0000 0.0000 0.0634
La2 0.0000 0.0000 0.2792
La3 0.3333 0.6667 0.3934
Sm1 0.3333 0.6667 0.1696
Th1 0.0000 0.0000 0.5000
```

Top 6 peaks for 2θ from 15° to 90°, in order of falling intensity:
hkl 1 0 5, 2.760 Å, I = 100
hkl 1 0 4, 2.892 Å, I = 72
hkl 0 0 9, 3.078 Å, I = 51
hkl 1 0 0, 3.183 Å, I = 47
hkl 1 1 9, 1.578 Å, I = 43
hkl 1 1 0, 1.838 Å, I = 37

---

[4]
Diffraction record for LiBeRe. The powder diffractogram is computed, not measured: it uses the GGA-PBE geometry in Alexandria and a wavelength of 1.5418 Å.
Kinematic intensities with the Lorentz-polarization factor, no thermal factor.

Crystal structure
```
data_LiBeRe
_space_group_name_H-M_alt 'F m m 2'
_space_group_IT_number 42
_space_group_name_Hall 'F 2 -2'
_cell_length_a 3.051
_cell_length_b 4.159
_cell_length_c 12.449
_cell_angle_alpha 90.00
_cell_angle_beta 90.00
_cell_angle_gamma 90.00
loop_
_atom_site_label
_atom_site_fract_x
_atom_site_fract_y
_atom_site_fract_z
Li1 0.000 0.000 0.000
Be1 0.000 0.000 0.328
Re1 0.000 0.000 0.680
```

Top 6 peaks for 2θ from 15° to 90°, in order of falling intensity:
hkl 1 1 1, 2.413 Å, I = 100
hkl 1 1 3, 2.116 Å, I = 82
hkl 0 0 4, 3.112 Å, I = 49
hkl 1 1 5, 1.750 Å, I = 39
hkl 0 2 2, 1.972 Å, I = 28
hkl 1 3 3, 1.207 Å, I = 25

---

[5]
Diffraction record for Cr2SbOs. The powder diffractogram is computed, not measured: it uses the GGA-PBE geometry in Alexandria and a wavelength of 1.5418 Å.
Kinematic intensities with the Lorentz-polarization factor, no thermal factor.

Crystal structure
```
data_Cr2SbOs
_space_group_name_H-M_alt 'P m m 2'
_space_group_IT_number 25
_cell_length_a 2.976
_cell_length_b 4.374
_cell_length_c 4.646
_cell_angle_alpha 90.00
_cell_angle_beta 90.00
_cell_angle_gamma 90.00
loop_
_space_group_symop_operation_xyz
'x,y,z'
'-x,-y,z'
'-x,y,z'
'x,-y,z'
loop_
_atom_site_label
_atom_site_fract_x
_atom_site_fract_y
_atom_site_fract_z
Cr1 0.000 0.000 0.000
Cr2 0.000 0.500 0.289
Sb1 0.500 0.000 0.483
Os1 0.500 0.500 0.825
```

Top 6 peaks for 2θ from 15° to 90°, in order of falling intensity:
hkl 1 1 1, 2.174 Å, I = 100
hkl 0 1 2, 2.052 Å, I = 43
hkl 0 1 1, 3.185 Å, I = 39
hkl 0 2 0, 2.187 Å, I = 34
hkl 1 0 1, 2.506 Å, I = 29
hkl 1 0 0, 2.976 Å, I = 19

---

[6]
Diffraction record for AcGa12Ir6. The powder diffractogram is computed, not measured: it uses the GGA-PBE geometry in Alexandria and a wavelength of 1.5418 Å.
Kinematic intensities with the Lorentz-polarization factor, no thermal factor.

Crystal structure
```
data_AcGa12Ir6
_space_group_name_H-M_alt 'R -3 m'
_space_group_IT_number 166
_space_group_name_Hall '-R 3 2"'
_cell_length_a 11.5306
_cell_length_b 11.5306
_cell_length_c 8.7016
_cell_angle_alpha 90.00
_cell_angle_beta 90.00
_cell_angle_gamma 120.00
loop_
_atom_site_label
_atom_site_fract_x
_atom_site_fract_y
_atom_site_fract_z
Ac1 0.0000 0.0000 0.0000
Ga1 0.0000 0.3836 0.5000
Ga2 0.0945 0.1889 0.3174
Ir1 0.0560 0.5280 0.2560
```

Top 6 peaks for 2θ from 15° to 90°, in order of falling intensity:
hkl 2 1 1, 3.463 Å, I = 100
hkl 0 2 4, 1.994 Å, I = 70
hkl 3 2 1, 2.215 Å, I = 64
hkl 0 3 3, 2.187 Å, I = 58
hkl 1 2 2, 2.851 Å, I = 46
hkl 2 2 0, 2.883 Å, I = 45